[1]
TbRe2SiC: computed PXRD pattern (copper Kα), based on a cell relaxed with GGA-PBE.
Peak positions follow from Bragg's law for the DFT cell and can differ from measured ones.

Most intense lines, 2θ = 10–80°, by angle:
2θ 29.37, I = 42.7, hkl 0 2 2
2θ 33.50, I = 100.0, hkl 1 3 0
2θ 34.36, I = 74.6, hkl 1 1 2
2θ 35.15, I = 32.8, hkl 0 4 1
2θ 40.46, I = 34.9, hkl 0 2 3
2θ 44.37, I = 36.1, hkl 1 1 3

Structural model:
a b c (Å): 3.954 10.895 7.331
angles (deg): 90.00 90.00 90.00
Space group Cmcm (No. 63)
Symmetry-distinct sites (fractional):
Tb: 0.000 0.042 0.250 (multiplicity 4)
Re: 0.000 0.326 0.061 (multiplicity 8)
Si: 0.000 0.235 0.750 (multiplicity 4)
C: 0.000 0.500 0.000 (multiplicity 4)

[2]
URe2SiC: computed PXRD pattern (copper Kα), based on a cell relaxed with GGA-PBE.
Peak positions follow from Bragg's law for the DFT cell and can differ from measured ones.

Most intense lines, 2θ = 10–80°, by angle:
2θ 27.86, I = 55.3, hkl 0 2 2
2θ 32.58, I = 39.4, hkl 0 4 1
2θ 35.11, I = 100.0, hkl 1 3 0
2θ 36.40, I = 97.0, hkl 1 1 2
2θ 38.57, I = 70.5, hkl 0 2 3
2θ 60.17, I = 37.4, hkl 1 5 3

Structural model:
a b c (Å): 3.366 11.782 7.632
angles (deg): 90.00 90.00 90.00
Space group Cmcm (No. 63)
Symmetry-distinct sites (fractional):
U: 0.000 0.041 0.250 (multiplicity 4)
Re: 0.000 0.337 0.055 (multiplicity 8)
Si: 0.000 0.248 0.750 (multiplicity 4)
C: 0.000 0.500 0.000 (multiplicity 4)

[3]
Sm2ReC3: computed PXRD pattern (copper Kα), based on a cell relaxed with GGA-PBE.
Peak positions follow from Bragg's law for the DFT cell and can differ from measured ones.

Most intense lines, 2θ = 10–80°, by angle:
2θ 28.62, I = 33.5, hkl 0 0 4
2θ 29.61, I = 33.0, hkl 1 3 1
2θ 31.03, I = 61.7, hkl 2 0 0
2θ 32.17, I = 100.0, hkl 1 3 2
2θ 33.66, I = 35.6, hkl 1 1 4
2θ 42.71, I = 25.8, hkl 2 0 4

Structural model:
a b c (Å): 5.764 11.077 12.477
angles (deg): 90.00 90.00 90.00
Space group Cmce (No. 64)
Symmetry-distinct sites (fractional):
Sm: 0.000 0.049 0.142 (multiplicity 8)
Sm: 0.000 0.143 0.583 (multiplicity 8)
Re: 0.000 0.245 0.343 (multiplicity 8)
C: 0.000 0.076 0.372 (multiplicity 8)
C: 0.000 0.152 0.969 (multiplicity 8)
C: 0.250 0.209 0.750 (multiplicity 8)

[4]
Th3ReC3: computed PXRD pattern (copper Kα), based on a cell relaxed with GGA-PBE.
Peak positions follow from Bragg's law for the DFT cell and can differ from measured ones.

Most intense lines, 2θ = 10–80°, by angle:
2θ 30.83, I = 100.0, hkl 2 2 1
2θ 31.71, I = 20.5, hkl 1 3 1
2θ 33.36, I = 29.0, hkl 0 0 2
2θ 33.50, I = 16.3, hkl 0 4 0
2θ 53.06, I = 12.9, hkl 4 0 2
2θ 58.05, I = 15.8, hkl 2 2 3

Structural model:
a b c (Å): 9.017 10.701 5.371
angles (deg): 90.00 90.00 90.00
Space group Cmcm (No. 63)
Symmetry-distinct sites (fractional):
Th: 0.000 0.112 0.250 (multiplicity 4)
Th: 0.209 0.378 0.250 (multiplicity 8)
Re: 0.000 0.308 0.750 (multiplicity 4)
C: 0.000 0.122 0.750 (multiplicity 4)
C: 0.211 0.372 0.750 (multiplicity 8)

[5]
Y2ThReC4: computed PXRD pattern (copper Kα), based on a cell relaxed with GGA-PBE.
Peak positions follow from Bragg's law for the DFT cell and can differ from measured ones.

Most intense lines, 2θ = 10–80°, by angle:
2θ 14.50, I = 45.3, hkl 0 0 2
2θ 29.27, I = 60.2, hkl 0 0 4
2θ 30.23, I = 100.0, hkl 1 1 2
2θ 34.52, I = 35.8, hkl 1 3 1
2θ 36.86, I = 55.6, hkl 1 3 2
2θ 50.77, I = 27.8, hkl 1 3 5

Structural model:
a b c (Å): 3.516 12.189 12.215
angles (deg): 90.00 90.00 90.00
Space group Cmcm (No. 63)
Symmetry-distinct sites (fractional):
Y: 0.000 0.129 0.039 (multiplicity 8)
Th: 0.000 0.408 0.250 (multiplicity 4)
Re: 0.000 0.331 0.750 (multiplicity 4)
C: 0.000 0.080 0.250 (multiplicity 4)
C: 0.000 0.231 0.632 (multiplicity 8)
C: 0.000 0.500 0.000 (multiplicity 4)

[6]
Tm5Re2C7: computed PXRD pattern (copper Kα), based on a cell relaxed with GGA-PBE.
Peak positions follow from Bragg's law for the DFT cell and can differ from measured ones.

Most intense lines, 2θ = 10–80°, by angle:
2θ 33.11, I = 31.7, hkl 1 5 0
2θ 33.58, I = 82.9, hkl 2 4 0
2θ 34.37, I = 40.4, hkl 3 1 0
2θ 34.88, I = 98.1, hkl 2 0 1
2θ 36.54, I = 100.0, hkl 0 4 1
2θ 54.34, I = 32.3, hkl 3 5 1

Structural model:
a b c (Å): 7.961 14.384 3.370
angles (deg): 90.00 90.00 90.00
Space group Cmmm (No. 65)
Symmetry-distinct sites (fractional):
Tm: 0.000 0.000 0.000 (multiplicity 2)
Tm: 0.207 0.371 0.500 (multiplicity 8)
Re: 0.000 0.215 0.000 (multiplicity 4)
C: 0.000 0.124 0.500 (multiplicity 4)
C: 0.000 0.500 0.000 (multiplicity 2)
C: 0.171 0.500 0.000 (multiplicity 4)
C: 0.250 0.250 0.000 (multiplicity 4)

[7]
TmU2ReC4: computed PXRD pattern (copper Kα), based on a cell relaxed with GGA-PBE.
Peak positions follow from Bragg's law for the DFT cell and can differ from measured ones.

Most intense lines, 2θ = 10–80°, by angle:
2θ 27.81, I = 27.4, hkl 0 2 3
2θ 30.78, I = 100.0, hkl 1 1 2
2θ 30.93, I = 93.8, hkl 0 4 0
2θ 38.01, I = 86.9, hkl 1 3 2
2θ 61.85, I = 27.6, hkl 2 4 0
2θ 64.42, I = 28.8, hkl 0 8 0

Structural model:
a b c (Å): 3.510 11.559 11.570
angles (deg): 90.00 90.00 90.00
Space group Cmcm (No. 63)
Symmetry-distinct sites (fractional):
Tm: 0.000 0.123 0.250 (multiplicity 4)
U: 0.000 0.370 0.044 (multiplicity 8)
Re: 0.000 0.140 0.750 (multiplicity 4)
C: 0.000 0.000 0.000 (multiplicity 4)
C: 0.000 0.262 0.623 (multiplicity 8)
C: 0.000 0.454 0.250 (multiplicity 4)

[8]
URe2C: computed PXRD pattern (copper Kα), based on a cell relaxed with GGA-PBE.
Peak positions follow from Bragg's law for the DFT cell and can differ from measured ones.

Most intense lines, 2θ = 10–80°, by angle:
2θ 33.74, I = 46.7, hkl 1 1 1
2θ 38.41, I = 100.0, hkl 0 2 3
2θ 39.15, I = 96.5, hkl 1 1 2
2θ 41.06, I = 54.2, hkl 1 3 0
2θ 42.67, I = 45.4, hkl 1 3 1
2θ 66.85, I = 46.8, hkl 1 5 3

Structural model:
a b c (Å): 2.939 9.937 7.973
angles (deg): 90.00 90.00 90.00
Space group Cmcm (No. 63)
Symmetry-distinct sites (fractional):
U: 0.000 0.068 0.250 (multiplicity 4)
Re: 0.000 0.352 0.066 (multiplicity 8)
C: 0.000 0.211 0.750 (multiplicity 4)